(1)
KZnCd6Ag: simulated powder X-ray diffraction pattern (CuKα), based on DFT lattice parameters and positions (GGA-PBE).

Structure:
```
18
Lattice="-2.894 5.800 7.630 2.894 -5.800 7.630 2.894 5.800 -7.630" Properties=species:S:1:pos:R:3 pbc="T T T"
K 0.000 2.900 2.150
K 2.894 2.900 5.480
Zn 2.894 0.000 0.000
Zn 0.000 0.000 7.630
Cd 1.434 -0.324 2.325
Cd 4.355 -0.324 2.325
Cd 2.894 -2.900 6.361
Cd 2.894 2.900 -0.686
Cd 1.434 5.476 -2.325
Cd 1.460 -0.324 5.304
Cd 1.434 6.124 2.325
Cd 1.460 0.324 9.955
Cd 0.000 2.900 8.315
Cd 0.000 8.700 1.268
Cd -1.460 6.124 5.304
Cd 1.460 6.124 5.304
Ag 1.447 2.900 -3.815
Ag 1.447 -2.900 3.815
```

Most intense lines, 2θ from 10° to 90°, by angle:
2θ = 28.0°, I 404
2θ = 30.8°, I 1000
2θ = 33.1°, I 556
2θ = 34.6°, I 557
2θ = 37.5°, I 507
2θ = 38.7°, I 668
2θ = 42.2°, I 750
2θ = 45.9°, I 446

***

(2)
Li2SmTm2Bi2: simulated powder X-ray diffraction pattern (CuKα), based on DFT lattice parameters and positions (GGA-PBE).

Structure:
```
7
Lattice="2.438 1.407 8.858 -2.438 1.407 8.858 0.000 -2.815 8.858" Properties=species:S:1:pos:R:3 pbc="T T T"
Li 0.000 0.000 2.223
Li 0.000 0.000 24.352
Sm 0.000 0.000 13.287
Tm 0.000 0.000 9.754
Tm 0.000 0.000 16.820
Bi 0.000 0.000 6.281
Bi 0.000 0.000 20.294
```

Most intense lines, 2θ from 10° to 90°, by angle:
2θ = 21.3°, I 532
2θ = 22.1°, I 351
2θ = 31.7°, I 876
2θ = 34.4°, I 875
2θ = 36.9°, I 1000
2θ = 51.3°, I 286
2θ = 64.8°, I 285
2θ = 65.1°, I 367

***

(3)
YCd6Ag5: simulated powder X-ray diffraction pattern (CuKα), based on DFT lattice parameters and positions (GGA-PBE).

Structure:
```
12
Lattice="-2.325 4.177 6.381 2.325 -4.177 6.381 2.325 4.177 -6.381" Properties=species:S:1:pos:R:3 pbc="T T T"
Y 0.000 0.000 0.000
Cd 2.325 -1.853 4.211
Cd 2.325 2.337 0.000
Cd 0.000 2.324 2.170
Cd 2.325 1.853 4.211
Cd 0.000 1.840 6.381
Cd 0.000 6.031 2.170
Ag 2.325 0.000 1.974
Ag 0.000 0.000 3.913
Ag 0.000 4.177 0.000
Ag 0.000 0.000 8.849
Ag 0.000 4.177 4.407
```

Most intense lines, 2θ from 10° to 90°, by angle:
2θ = 35.8°, I 1000
2θ = 38.7°, I 223
2θ = 42.5°, I 135
2θ = 43.3°, I 119
2θ = 58.8°, I 98
2θ = 59.5°, I 90
2θ = 68.2°, I 140
2θ = 73.4°, I 72

***

- Which formula does entry 3 have?
  YCd6Ag5

***

- What is the formula in the first record?
  KZnCd6Ag